Diffraction record for CaAl2Si3O10. The X-ray powder pattern is theoretical, not measured: it uses a DFT-relaxed cell (PBE, the Materials Project) and Cu Kα (λ = 1.5418 Å).
Kinematic intensities with the Lorentz-polarization factor, no thermal factor.

Largest 10 diffraction maxima, low angle first, 2θ = 10–90°:
Position (°2θ), intensity
14.69, 93
15.70, 100
20.20, 20
21.39, 61
21.75, 36
28.32, 37
29.62, 21
29.77, 22
33.97, 20
37.71, 26

Lattice parameters (Å, degrees): 8.9148 8.9148 9.1785 96.03 96.03 136.65
Sites, in units of the cell vectors:
1 Ca 0.1166 0.8834 0.5000
2 Ca 0.8834 0.1166 0.0000
3 Al 0.2135 0.5199 0.4329
4 Al 0.4172 0.6139 0.8560
5 Al 0.5199 0.2135 0.9329
6 Al 0.6139 0.4172 0.3560
7 Si 0.1828 0.9559 0.1533
8 Si 0.4643 0.9307 0.6891
9 Si 0.6682 0.6959 0.5987
10 Si 0.6959 0.6682 0.0987
11 Si 0.9307 0.4643 0.1891
12 Si 0.9559 0.1828 0.6533
13 O 0.0331 0.3112 0.5238
14 O 0.0835 0.4267 0.2337
15 O 0.0913 0.7277 0.1873
16 O 0.1399 0.3345 0.8230
17 O 0.2871 0.7647 0.5202
18 O 0.3112 0.0331 0.0238
19 O 0.3345 0.1399 0.3230
20 O 0.4175 0.8038 0.8206
21 O 0.4267 0.0835 0.7337
22 O 0.4565 0.5914 0.4680
23 O 0.5769 0.7404 0.0488
24 O 0.5914 0.4565 0.9680
25 O 0.6217 0.6903 0.7645
26 O 0.6903 0.6217 0.2645
27 O 0.7277 0.0913 0.6873
28 O 0.7404 0.5769 0.5488
29 O 0.7647 0.2871 0.0202
30 O 0.8038 0.4175 0.3206
31 O 0.9100 0.9651 0.6051
32 O 0.9651 0.9100 0.1051